# GdCuSe2
Calculated PXRD pattern, Cu Kα. Input: a structure optimized by DFT (GGA-PBE).

Cell and atoms:
```
GdCuSe2
1.0
6.6747 0.0000 0.0000
0.0000 7.3766 0.0000
-0.8091 0.0000 7.0631
Gd Cu Se
4 4 8
Cartesian
1.0624 0.3309 2.1215
0.6579 3.3574 5.6531
5.2077 4.0192 1.4101
4.8032 7.0458 4.9416
2.4632 4.8525 3.1920
2.0586 6.2125 6.7235
3.8070 1.1641 0.3396
3.4024 2.5242 3.8712
0.0945 5.3500 3.5167
-0.3101 5.7149 7.0482
2.1078 0.8311 5.0743
2.5124 2.8572 1.5427
3.3532 4.5194 5.5204
3.7578 6.5455 1.9888
6.1757 1.6617 0.0149
5.7711 2.0266 3.5465
```

Most intense lines, 2θ from 10° to 80°, by angle:
22.85 deg, I 67, hkl 1 1 1; 29.83 deg, I 61, hkl 1 2 -1; 30.93 deg, I 100, hkl 2 1 -1; 32.41 deg, I 56, hkl 1 1 2; 35.18 deg, I 72, hkl 0 2 2; 36.44 deg, I 35, hkl 2 2 0; 39.07 deg, I 35, hkl 1 3 0; 40.21 deg, I 39, hkl 0 1 3